Theoretical powder X-ray diffraction pattern of KTlCd2F8 for copper Kα, from a structure optimized by DFT (GGA-PBE).
Intensities are scaled so that the largest is 100.

Atomic structure:
a b c (Å): 4.1202 5.6262 7.6969
angles (deg): 90.00 90.00 90.00
Space group Pmmm (No. 47)
Symmetry-distinct sites (fractional):
1 K 0.0000 0.0000 0.0000 [1 per cell]
2 Tl 0.0000 0.0000 0.5000 [1 per cell]
3 Cd 0.5000 0.5000 0.2443 [2 per cell]
4 F 0.0000 0.2610 0.2829 [4 per cell]
5 F 0.5000 0.2395 0.5000 [2 per cell]
6 F 0.5000 0.2729 0.0000 [2 per cell]

Main lines, in order of rising 2θ (5° ≤ 2θ ≤ 70°):
- 11.50°, d = 7.697 Å, intensity 42
- 19.54°, d = 4.542 Å, intensity 28
- 24.51°, d = 3.632 Å, intensity 19
- 26.82°, d = 3.324 Å, intensity 100
- 28.09°, d = 3.176 Å, intensity 90
- 31.82°, d = 2.813 Å, intensity 43
- 43.95°, d = 2.060 Å, intensity 23
- 45.61°, d = 1.989 Å, intensity 82
- 52.98°, d = 1.728 Å, intensity 30
- 55.15°, d = 1.665 Å, intensity 30